This entry pairs a crystal structure of Ho4In2Co with its simulated powder diffraction line list. Radiation: Cu Kα (weighted mean of Kα1 and Kα2). Structure: a cell relaxed with PBE.
Kinematic intensities with the Lorentz-polarization factor, no thermal factor.

Peak list (6 most intense, 15 to 90 degrees two-theta, by intensity)
2theta	intensity
32.8	100
28.9	80
30.0	51
32.6	47
35.1	46
35.6	31

Atomic structure:
```
7
Lattice="6.3923 0.0000 0.0000 0.0000 3.6067 0.0000 -3.0844 0.0000 8.3656" Properties=species:S:1:pos:R:3 pbc="T T T"
Ho 0.0114 0.0000 2.1833
Ho 0.1680 1.8034 5.4114
Ho 3.1400 1.8034 2.9542
Ho 3.2965 0.0000 6.1823
In -1.3925 1.8034 8.3416
In 4.7005 1.8034 0.0240
Co 1.6540 0.0000 4.1828
```

This entry pairs a crystal structure of TeBr3 with its simulated powder diffraction line list. Radiation: Cu Kα (weighted mean of Kα1 and Kα2). Structure: a cell relaxed with PBE.
Kinematic intensities with the Lorentz-polarization factor, no thermal factor.

Peak list (6 most intense, 15 to 90 degrees two-theta, by intensity)
2theta	intensity
23.8	100
31.8	58
17.3	44
16.7	40
25.4	30
38.5	26

Atomic structure:
```
8
Lattice="5.7450 0.0000 0.0000 -1.6435 8.2391 0.0000 -2.3188 -3.5551 7.6040" Properties=species:S:1:pos:R:3 pbc="T T T"
Te 0.0000 0.0000 0.0000
Te 0.8781 1.7484 2.3747
Br -1.6127 -0.6554 7.4033
Br -1.8391 4.1314 6.3522
Br 0.8537 0.1360 4.3849
Br 0.6681 3.9738 3.7289
Br 3.8389 1.6308 2.1692
Br 3.6201 5.8968 0.8708
```

This entry pairs a crystal structure of BaNaPrSbO6 with its simulated powder diffraction line list. Radiation: Cu Kα (weighted mean of Kα1 and Kα2). Structure: a cell relaxed with PBE.
Kinematic intensities with the Lorentz-polarization factor, no thermal factor.

Peak list (6 most intense, 15 to 90 degrees two-theta, by intensity)
2theta	intensity
29.1	100
51.6	40
41.6	33
83.3	21
60.3	20
68.4	18

Atomic structure:
```
10
Lattice="0.0000 4.3386 4.3386 4.3386 0.0000 4.3386 4.3386 4.3386 0.0000" Properties=species:S:1:pos:R:3 pbc="T T T"
Ba 0.0000 0.0000 0.0000
Na 4.3386 4.3386 4.3386
Pr 6.5079 6.5079 6.5079
Sb 2.1693 2.1693 2.1693
O 2.1693 2.1693 0.1692
O 2.1693 0.1692 2.1693
O 4.1694 2.1693 2.1693
O 0.1692 2.1693 2.1693
O 2.1693 4.1694 2.1693
O 2.1693 2.1693 4.1694
```

This entry pairs a crystal structure of Na6TlHg with its simulated powder diffraction line list. Radiation: Cu Kα (weighted mean of Kα1 and Kα2). Structure: a cell relaxed with PBE.
Kinematic intensities with the Lorentz-polarization factor, no thermal factor.

Peak list (6 most intense, 15 to 90 degrees two-theta, by intensity)
2theta	intensity
21.5	100
33.6	84
25.4	46
42.6	39
41.1	27
31.8	22

Atomic structure:
```
8
Lattice="5.6300 0.0000 0.0000 0.0000 3.5027 6.0594 0.0000 -3.5027 6.0594" Properties=species:S:1:pos:R:3 pbc="T T T"
Na 0.0000 0.0000 0.0000
Na 0.0000 -1.6784 2.9102
Na 0.0000 1.6784 2.9102
Na 2.8150 -1.6779 5.0226
Na 2.8150 1.6779 5.0226
Na 2.8150 0.0000 7.9348
Tl 2.8150 0.0000 1.9470
Hg 0.0000 0.0000 5.9858
```